[1]
The following is a computed powder XRD pattern of Tb2PrNd2Er. It was derived from DFT lattice parameters and positions (PBE), using copper Kα.
Intensities are scaled so that the largest is 1000.

a b c (Å): 7.043 5.720 9.935
angles (deg): 90.00 90.00 90.00
Space group Pmma (No. 51)
One atom of each set of equivalent atoms:
Tb  0.250  0.000  0.165 [2 per cell]
Tb  0.250  0.500  0.669 [2 per cell]
Pr  0.000  0.000  0.500 [2 per cell]
Nd  0.000  0.500  0.000 [2 per cell]
Nd  0.250  0.000  0.831 [2 per cell]
Er  0.250  0.500  0.335 [2 per cell]

Peak list (6 most intense, 2θ = 15–90°, most intense first)
Position (°2θ), I/Imax, (hkl)
31.2, 1000, 0 1 3
31.3, 216, 0 2 0
44.7, 210, 2 2 2
61.9, 193, 4 2 0
55.5, 190, 0 0 6
55.6, 158, 0 3 3

=====

[2]
The following is a computed powder XRD pattern of TbPr2NdEr2. It was derived from DFT lattice parameters and positions (PBE), using copper Kα.
Intensities are scaled so that the largest is 1000.

a b c (Å): 7.087 5.712 9.888
angles (deg): 90.00 90.00 90.00
Space group Pmma (No. 51)
One atom of each set of equivalent atoms:
Tb  0.000  0.000  0.000 [2 per cell]
Pr  0.000  0.500  0.500 [2 per cell]
Pr  0.250  0.000  0.325 [2 per cell]
Nd  0.250  0.500  0.840 [2 per cell]
Er  0.250  0.000  0.665 [2 per cell]
Er  0.250  0.500  0.167 [2 per cell]

Peak list (6 most intense, 2θ = 15–90°, most intense first)
Position (°2θ), I/Imax, (hkl)
31.3, 1000, 0 2 0
31.0, 904, 2 0 2
55.6, 348, 2 3 1
44.7, 332, 2 2 2
61.6, 290, 4 2 0
55.8, 195, 0 3 3

=====

[3]
The following is a computed powder XRD pattern of Tb2PrNd6Er. It was derived from DFT lattice parameters and positions (PBE), using copper Kα.
Intensities are scaled so that the largest is 1000.

a b c (Å): 9.324 15.366 9.719
angles (deg): 90.00 97.12 90.00
Space group C2/c (No. 15)
One atom of each set of equivalent atoms:
Tb  0.248  0.049  0.453 [8 per cell]
Pr  0.000  0.474  0.250 [4 per cell]
Nd  0.062  0.320  0.945 [8 per cell]
Nd  0.098  0.109  0.118 [8 per cell]
Nd  0.213  0.277  0.313 [8 per cell]
Er  0.000  0.089  0.750 [4 per cell]

Peak list (6 most intense, 2θ = 15–90°, most intense first)
Position (°2θ), I/Imax, (hkl)
30.7, 1000, 2 2 2
29.9, 538, 3 1 -1
30.1, 472, 0 2 3
33.3, 406, 1 3 -3
28.0, 397, 1 3 2
30.9, 374, 2 4 -1

=====

[4]
The following is a computed powder XRD pattern of Tb2Pr2Nd4Er. It was derived from DFT lattice parameters and positions (PBE), using copper Kα.
Intensities are scaled so that the largest is 1000.

a b c (Å): 19.034 3.680 9.768
angles (deg): 90.00 115.57 90.00
Space group C2/m (No. 12)
One atom of each set of equivalent atoms:
Tb  0.148  0.000  0.167 [4 per cell]
Pr  0.165  0.500  0.498 [4 per cell]
Nd  0.018  0.500  0.833 [4 per cell]
Nd  0.186  0.000  0.833 [4 per cell]
Er  0.000  0.000  0.500 [2 per cell]

Peak list (6 most intense, 2θ = 15–90°, most intense first)
Position (°2θ), I/Imax, (hkl)
31.2, 1000, 3 1 -2
32.8, 583, 3 1 1
30.4, 499, 0 0 3
28.3, 366, 6 0 -1
33.0, 286, 6 0 -3
49.7, 255, 9 1 -2

=====

[5]
The following is a computed powder XRD pattern of PrNd2ErTl2. It was derived from DFT lattice parameters and positions (PBE), using copper Kα.
Intensities are scaled so that the largest is 1000.

a b c (Å): 5.205 10.245 6.999
angles (deg): 90.00 90.00 90.00
Space group Pmc2_1 (No. 26)
One atom of each set of equivalent atoms:
Pr  0.000  0.046  0.000 [2 per cell]
Nd  0.000  0.318  0.377 [2 per cell]
Nd  0.500  0.452  0.098 [2 per cell]
Er  0.500  0.189  0.716 [2 per cell]
Tl  0.000  0.358  0.839 [2 per cell]
Tl  0.500  0.127  0.266 [2 per cell]

Peak list (6 most intense, 2θ = 15–90°, most intense first)
Position (°2θ), I/Imax, (hkl)
31.3, 1000, 1 3 0
32.0, 825, 1 1 2
34.5, 611, 2 0 0
30.8, 610, 1 0 2
33.9, 379, 1 3 1
36.8, 254, 0 3 2

=====

[6]
The following is a computed powder XRD pattern of PrNd2Er4Tm. It was derived from DFT lattice parameters and positions (PBE), using copper Kα.
Intensities are scaled so that the largest is 1000.

a b c (Å): 6.787 11.844 13.248
angles (deg): 90.00 90.00 90.00
Space group Imma (No. 74)
One atom of each set of equivalent atoms:
Pr  0.000  0.000  0.000 [4 per cell]
Nd  0.000  0.000  0.500 [4 per cell]
Nd  0.250  0.250  0.250 [4 per cell]
Er  0.000  0.006  0.750 [8 per cell]
Er  0.250  0.250  0.506 [8 per cell]
Tm  0.250  0.250  0.750 [4 per cell]

Peak list (6 most intense, 2θ = 15–90°, most intense first)
Position (°2θ), I/Imax, (hkl)
30.4, 1000, 2 2 0
41.0, 881, 2 2 4
26.9, 675, 0 0 4
30.2, 504, 0 4 0
40.9, 442, 0 4 4
64.5, 340, 2 2 8